Entry 1:
Computed X-ray diffraction stick pattern of Ca2TmTl4 for Cu Kα, 1.54184 Å, from the GGA-PBE geometry in Alexandria.
Lines closer than 0.1° are merged.

The 10 most intense peaks (5 to 70 degrees two-theta), low angle first:
2θ (°)  d/Å  Rel. int.
11.79  7.504  93
17.73  5.003  88
23.71  3.752  324
33.78  2.653  1000
41.69  2.166  90
43.48  2.081  82
48.52  1.876  172
54.70  1.678  113
60.43  1.532  331
67.17  1.394  74

Atomic structure:
```
data_Ca2TmTl4
_chemical_formula_sum 'Ca4 Tm2 Tl8'
_space_group_name_H-M_alt 'I 4/m m m'
_space_group_IT_number 139
_space_group_name_Hall '-I 4 2'
_cell_length_a 5.307
_cell_length_b 5.307
_cell_length_c 15.009
_cell_angle_alpha 90.00
_cell_angle_beta 90.00
_cell_angle_gamma 90.00
loop_
_atom_site_label
_atom_site_fract_x
_atom_site_fract_y
_atom_site_fract_z
_atom_site_occupancy
Ca1 0.000 0.000 0.249 1
Tm1 0.000 0.000 0.500 1
Tl1 0.000 0.500 0.110 1
```

---

Entry 2:
Computed X-ray diffraction stick pattern of Ca3YTl2 for Cu Kα, 1.54184 Å, from the GGA-PBE geometry in Alexandria.
Lines closer than 0.1° are merged.

The 10 most intense peaks (5 to 70 degrees two-theta), low angle first:
2θ (°)  d/Å  Rel. int.
19.02  4.666  308
21.95  4.050  845
22.73  3.912  933
30.06  2.973  436
31.45  2.845  1000
32.15  2.784  877
33.80  2.652  574
40.66  2.219  360
41.03  2.200  310
42.42  2.131  302

Atomic structure:
```
data_Ca3YTl2
_chemical_formula_sum 'Ca6 Y2 Tl4'
_space_group_name_H-M_alt 'P m c 21'
_space_group_IT_number 26
_space_group_name_Hall 'P 2c -2'
_cell_length_a 5.304
_cell_length_b 9.811
_cell_length_c 7.177
_cell_angle_alpha 90.00
_cell_angle_beta 90.00
_cell_angle_gamma 90.00
loop_
_atom_site_label
_atom_site_fract_x
_atom_site_fract_y
_atom_site_fract_z
_atom_site_occupancy
Ca1 0.000 0.054 0.000 1
Ca2 0.000 0.315 0.361 1
Ca3 0.500 0.181 0.704 1
Y1 0.500 0.450 0.060 1
Tl1 0.000 0.367 0.812 1
Tl2 0.500 0.148 0.248 1
```

---

Entry 3:
Computed X-ray diffraction stick pattern of Ca2YTl4 for Cu Kα, 1.54184 Å, from the GGA-PBE geometry in Alexandria.
Lines closer than 0.1° are merged.

The 10 most intense peaks (5 to 70 degrees two-theta), low angle first:
2θ (°)  d/Å  Rel. int.
22.84  3.893  255
23.81  3.737  463
33.23  2.696  1000
33.93  2.642  473
41.29  2.186  230
48.74  1.868  172
53.04  1.726  114
58.93  1.567  195
60.26  1.536  364
69.77  1.348  117

Atomic structure:
```
data_Ca2YTl4
_chemical_formula_sum 'Ca4 Y2 Tl8'
_space_group_name_H-M_alt 'I 4/m m m'
_space_group_IT_number 139
_space_group_name_Hall '-I 4 2'
_cell_length_a 7.474
_cell_length_b 7.474
_cell_length_c 7.786
_cell_angle_alpha 90.00
_cell_angle_beta 90.00
_cell_angle_gamma 90.00
loop_
_atom_site_label
_atom_site_fract_x
_atom_site_fract_y
_atom_site_fract_z
_atom_site_occupancy
Ca1 0.000 0.500 0.000 1
Y1 0.000 0.000 0.000 1
Tl1 0.250 0.250 0.250 1
```

---

Entry 4:
Computed X-ray diffraction stick pattern of CaY4Tl for Cu Kα, 1.54184 Å, from the GGA-PBE geometry in Alexandria.
Lines closer than 0.1° are merged.

The 10 most intense peaks (5 to 70 degrees two-theta), low angle first:
2θ (°)  d/Å  Rel. int.
16.55  5.357  145
19.13  4.639  150
27.19  3.280  325
31.99  2.797  1000
33.46  2.678  339
48.04  1.894  137
51.16  1.786  351
56.07  1.640  264
66.03  1.415  121
66.89  1.399  132

Atomic structure:
```
data_CaY4Tl
_chemical_formula_sum 'Ca4 Y16 Tl4'
_space_group_name_H-M_alt 'F -4 3 m'
_space_group_IT_number 216
_space_group_name_Hall 'F -4 2 3'
_cell_length_a 9.278
_cell_length_b 9.278
_cell_length_c 9.278
_cell_angle_alpha 90.00
_cell_angle_beta 90.00
_cell_angle_gamma 90.00
loop_
_atom_site_label
_atom_site_fract_x
_atom_site_fract_y
_atom_site_fract_z
_atom_site_occupancy
Ca1 0.000 0.000 0.000 1
Y1 0.125 0.125 0.375 1
Tl1 0.250 0.250 0.750 1
```

---

Entry 5:
Computed X-ray diffraction stick pattern of CaYTlZn for Cu Kα, 1.54184 Å, from the GGA-PBE geometry in Alexandria.
Lines closer than 0.1° are merged.

The 10 most intense peaks (5 to 70 degrees two-theta), low angle first:
2θ (°)  d/Å  Rel. int.
11.60  7.629  299
24.07  3.697  134
26.80  3.327  246
33.76  2.655  1000
34.31  2.614  492
36.33  2.473  84
47.69  1.907  87
49.30  1.848  174
60.05  1.541  172
61.09  1.517  353

Atomic structure:
```
data_CaYTlZn
_chemical_formula_sum 'Ca1 Y1 Tl1 Zn1'
_space_group_name_H-M_alt 'P 4 m m'
_space_group_IT_number 99
_space_group_name_Hall 'P 4 -2'
_cell_length_a 3.697
_cell_length_b 3.697
_cell_length_c 7.629
_cell_angle_alpha 90.00
_cell_angle_beta 90.00
_cell_angle_gamma 90.00
loop_
_atom_site_label
_atom_site_fract_x
_atom_site_fract_y
_atom_site_fract_z
_atom_site_occupancy
Ca1 0.000 0.000 0.000 1
Y1 0.000 0.000 0.463 1
Tl1 0.500 0.500 0.728 1
Zn1 0.500 0.500 0.247 1
```

---

Entry 6:
Computed X-ray diffraction stick pattern of Ca2Tl5Zn for Cu Kα, 1.54184 Å, from the GGA-PBE geometry in Alexandria.
Lines closer than 0.1° are merged.

The 10 most intense peaks (5 to 70 degrees two-theta), low angle first:
2θ (°)  d/Å  Rel. int.
17.43  5.088  160
24.94  3.570  62
27.18  3.281  110
32.47  2.757  1000
35.28  2.544  383
42.10  2.146  130
50.64  1.803  67
56.06  1.640  204
61.48  1.508  141
61.63  1.505  126

Atomic structure:
```
data_Ca2Tl5Zn
_chemical_formula_sum 'Ca4 Tl10 Zn2'
_space_group_name_H-M_alt 'P b a m'
_space_group_IT_number 55
_space_group_name_Hall '-P 2 2ab'
_cell_length_a 7.180
_cell_length_b 14.421
_cell_length_c 4.292
_cell_angle_alpha 90.00
_cell_angle_beta 90.00
_cell_angle_gamma 90.00
loop_
_atom_site_label
_atom_site_fract_x
_atom_site_fract_y
_atom_site_fract_z
_atom_site_occupancy
Ca1 0.249 0.123 0.000 1
Tl1 0.000 0.500 0.500 1
Tl2 0.015 0.256 0.500 1
Tl3 0.219 0.885 0.000 1
Zn1 0.000 0.000 0.500 1
```

---

Entry 7:
Computed X-ray diffraction stick pattern of Ca5Tl6Zn for Cu Kα, 1.54184 Å, from the GGA-PBE geometry in Alexandria.
Lines closer than 0.1° are merged.

The 10 most intense peaks (5 to 70 degrees two-theta), low angle first:
2θ (°)  d/Å  Rel. int.
23.20  3.835  692
32.80  2.731  273
33.04  2.711  1000
33.26  2.694  247
40.56  2.224  138
40.95  2.204  97
47.42  1.917  262
53.44  1.714  132
58.70  1.573  192
59.29  1.559  165

Atomic structure:
```
data_Ca5Tl6Zn
_chemical_formula_sum 'Ca10 Tl12 Zn2'
_space_group_name_H-M_alt 'C 1 2/m 1'
_space_group_IT_number 12
_space_group_name_Hall '-C 2y'
_cell_length_a 9.409
_cell_length_b 16.162
_cell_length_c 5.461
_cell_angle_alpha 90.00
_cell_angle_beta 125.42
_cell_angle_gamma 90.00
loop_
_atom_site_label
_atom_site_fract_x
_atom_site_fract_y
_atom_site_fract_z
_atom_site_occupancy
Ca1 0.000 0.000 0.000 1
Ca2 0.000 0.164 0.500 1
Ca3 0.000 0.327 0.000 1
Tl1 0.225 0.500 0.224 1
Tl2 0.233 0.342 0.733 1
Zn1 0.000 0.500 0.500 1
```

---

Entry 8:
Computed X-ray diffraction stick pattern of CaTl2Zn for Cu Kα, 1.54184 Å, from the GGA-PBE geometry in Alexandria.
Lines closer than 0.1° are merged.

The 10 most intense peaks (5 to 70 degrees two-theta), low angle first:
2θ (°)  d/Å  Rel. int.
11.93  7.417  145
23.86  3.730  423
24.00  3.708  164
33.21  2.697  305
34.09  2.630  1000
34.76  2.581  270
43.94  2.061  144
48.84  1.865  207
59.91  1.544  197
61.88  1.499  178

Atomic structure:
```
data_CaTl2Zn
_chemical_formula_sum 'Ca2 Tl4 Zn2'
_space_group_name_H-M_alt 'C m m m'
_space_group_IT_number 65
_space_group_name_Hall '-C 2 2'
_cell_length_a 5.162
_cell_length_b 5.395
_cell_length_c 7.417
_cell_angle_alpha 90.00
_cell_angle_beta 90.00
_cell_angle_gamma 90.00
loop_
_atom_site_label
_atom_site_fract_x
_atom_site_fract_y
_atom_site_fract_z
_atom_site_occupancy
Ca1 0.000 0.000 0.000 1
Tl1 0.000 0.500 0.282 1
Zn1 0.000 0.000 0.500 1
```

---

Entry 9:
Computed X-ray diffraction stick pattern of Ca3ZrTl for Cu Kα, 1.54184 Å, from the GGA-PBE geometry in Alexandria.
Lines closer than 0.1° are merged.

The 10 most intense peaks (5 to 70 degrees two-theta), low angle first:
2θ (°)  d/Å  Rel. int.
21.82  4.073  1000
26.81  3.326  357
31.05  2.880  594
38.27  2.352  480
44.49  2.037  431
50.08  1.822  226
52.70  1.737  160
55.24  1.663  149
60.10  1.540  264
69.19  1.358  130

Atomic structure:
```
data_Ca3ZrTl
_chemical_formula_sum 'Ca3 Zr1 Tl1'
_space_group_name_H-M_alt 'P m -3 m'
_space_group_IT_number 221
_space_group_name_Hall '-P 4 2 3'
_cell_length_a 5.760
_cell_length_b 5.760
_cell_length_c 5.760
_cell_angle_alpha 90.00
_cell_angle_beta 90.00
_cell_angle_gamma 90.00
loop_
_atom_site_label
_atom_site_fract_x
_atom_site_fract_y
_atom_site_fract_z
_atom_site_occupancy
Ca1 0.000 0.000 0.500 1
Zr1 0.000 0.000 0.000 1
Tl1 0.500 0.500 0.500 1
```

---

Entry 10:
Computed X-ray diffraction stick pattern of Ca3Tm for Cu Kα, 1.54184 Å, from the GGA-PBE geometry in Alexandria.
Lines closer than 0.1° are merged.

The 10 most intense peaks (5 to 70 degrees two-theta), low angle first:
2θ (°)  d/Å  Rel. int.
18.23  4.868  383
21.08  4.215  207
29.98  2.981  1000
35.31  2.542  232
42.91  2.108  182
46.98  1.934  108
48.28  1.885  100
53.23  1.721  379
56.74  1.623  84
62.30  1.490  116

Atomic structure:
```
data_Ca3Tm
_chemical_formula_sum 'Ca12 Tm4'
_space_group_name_H-M_alt 'F m -3 m'
_space_group_IT_number 225
_space_group_name_Hall '-F 4 2 3'
_cell_length_a 8.431
_cell_length_b 8.431
_cell_length_c 8.431
_cell_angle_alpha 90.00
_cell_angle_beta 90.00
_cell_angle_gamma 90.00
loop_
_atom_site_label
_atom_site_fract_x
_atom_site_fract_y
_atom_site_fract_z
_atom_site_occupancy
Ca1 0.000 0.000 0.000 1
Ca2 0.250 0.250 0.250 1
Tm1 0.000 0.000 0.500 1
```

---

Entry 11:
Computed X-ray diffraction stick pattern of CaTm3 for Cu Kα, 1.54184 Å, from the GGA-PBE geometry in Alexandria.
Lines closer than 0.1° are merged.

The 10 most intense peaks (5 to 70 degrees two-theta), low angle first:
2θ (°)  d/Å  Rel. int.
19.70  4.507  152
30.75  2.908  1000
35.60  2.522  338
35.75  2.512  167
41.01  2.201  49
51.23  1.783  120
51.34  1.780  239
60.95  1.520  285
61.15  1.516  141
64.04  1.454  122

Atomic structure:
```
data_CaTm3
_chemical_formula_sum 'Ca2 Tm6'
_space_group_name_H-M_alt 'I 4/m m m'
_space_group_IT_number 139
_space_group_name_Hall '-I 4 2'
_cell_length_a 5.044
_cell_length_b 5.044
_cell_length_c 10.046
_cell_angle_alpha 90.00
_cell_angle_beta 90.00
_cell_angle_gamma 90.00
loop_
_atom_site_label
_atom_site_fract_x
_atom_site_fract_y
_atom_site_fract_z
_atom_site_occupancy
Ca1 0.000 0.000 0.000 1
Tm1 0.000 0.000 0.500 1
Tm2 0.000 0.500 0.250 1
```

---

Entry 12:
Computed X-ray diffraction stick pattern of Ca2Tm for Cu Kα, 1.54184 Å, from the GGA-PBE geometry in Alexandria.
Lines closer than 0.1° are merged.

The 10 most intense peaks (5 to 70 degrees two-theta), low angle first:
2θ (°)  d/Å  Rel. int.
9.45  9.364  892
18.96  4.682  161
27.82  3.207  227
28.60  3.121  291
29.44  3.034  1000
33.88  2.646  717
48.09  1.892  148
49.20  1.852  191
57.95  1.591  152
61.09  1.517  118

Atomic structure:
```
data_Ca2Tm
_chemical_formula_sum 'Ca4 Tm2'
_space_group_name_H-M_alt 'C 1 m 1'
_space_group_IT_number 8
_space_group_name_Hall 'C -2y'
_cell_length_a 6.420
_cell_length_b 3.701
_cell_length_c 9.364
_cell_angle_alpha 90.00
_cell_angle_beta 90.17
_cell_angle_gamma 90.00
loop_
_atom_site_label
_atom_site_fract_x
_atom_site_fract_y
_atom_site_fract_z
_atom_site_occupancy
Ca1 0.000 0.000 0.000 1
Ca2 0.165 0.500 0.647 1
Tm1 0.334 0.000 0.324 1
```